This entry pairs a crystal structure of Li2Fe3F8 with its simulated PXRD pattern. Radiation: CuKα. Structure: a DFT-relaxed cell (GGA+U, the Materials Project).
Peak positions follow from Bragg's law for the DFT cell and can differ from measured ones.

Structural model:
Cell: 6.3684 11.9897 8.6336 Å, 90.00 90.00 90.00°
Space group Cmce (No. 64)
One atom of each set of equivalent atoms:
Li 0.0000 0.1211 0.1134 x8
Fe 0.0000 0.0000 0.5000 x4
Fe 0.2500 0.1406 0.7500 x8
F 0.0000 0.0099 0.7455 x8
F 0.0000 0.2491 0.2402 x8
F 0.2494 0.1145 0.5162 x16

The 10 most intense peaks (10° ≤ 2θ ≤ 90°), by angle:
h k l	two_theta	I_rel
0 2 1	18.0	100
1 1 1	18.8	36
0 2 2	25.4	25
1 3 1	28.3	19
2 2 1	33.5	44
0 2 3	34.6	14
2 4 0	41.4	71
0 0 4	41.9	35
0 2 5	55.3	17
2 4 4	60.3	42


This entry pairs a crystal structure of Sr2MnTeO6 with its simulated PXRD pattern. Radiation: CuKα. Structure: a DFT-relaxed cell (GGA+U, the Materials Project).
Peak positions follow from Bragg's law for the DFT cell and can differ from measured ones.

Structural model:
Cell: 5.7691 5.7701 9.9448 Å, 90.00 125.28 90.00°
Space group P2_1/c (No. 14)
One atom of each set of equivalent atoms:
Sr 0.2449 0.0242 0.2498 x4
Mn 0.5000 0.0000 0.0000 x2
Te 0.0000 0.0000 0.5000 x2
O 0.1708 0.2328 0.9657 x4
O 0.2318 0.7076 0.9664 x4
O 0.3008 0.0121 0.7371 x4

The 10 most intense peaks (10° ≤ 2θ ≤ 90°), by angle:
h k l	two_theta	I_rel
1 0 0	18.9	19
1 1 1	31.0	100
1 1 -3	31.1	50
2 2 -2	44.4	32
0 0 4	44.6	16
3 1 -1	55.2	29
2 0 2	55.3	28
2 2 2	64.7	9
2 2 -6	64.9	9
3 3 -1	73.4	12


This entry pairs a crystal structure of V4O3F9 with its simulated PXRD pattern. Radiation: CuKα. Structure: a DFT-relaxed cell (GGA+U, the Materials Project).
Peak positions follow from Bragg's law for the DFT cell and can differ from measured ones.

Structural model:
Cell: 5.1805 5.4167 7.5785 Å, 87.54 89.96 88.90°
Space group P1 (No. 1)
One atom of each set of equivalent atoms:
V 0.0000 0.0000 0.0000 x1
V 0.0031 0.0159 0.4919 x1
V 0.4956 0.5091 0.5006 x1
V 0.5235 0.4850 0.9964 x1
O 0.2473 0.7016 0.5327 x1
O 0.7395 0.1816 0.0363 x1
O 0.8107 0.2640 0.4593 x1
F 0.1285 0.9950 0.2465 x1
F 0.2241 0.2899 0.9413 x1
F 0.3136 0.7995 0.9527 x1
F 0.3179 0.1950 0.5513 x1
F 0.4264 0.4790 0.2453 x1
F 0.6231 0.4933 0.7461 x1
F 0.7446 0.7677 0.4372 x1
F 0.8280 0.6804 0.0476 x1
F 0.9285 0.9665 0.7452 x1

The 10 most intense peaks (10° ≤ 2θ ≤ 90°), by angle:
h k l	two_theta	I_rel
0 0 2	23.5	100
1 -1 0	24.0	54
1 1 2	33.0	7
0 2 0	33.1	8
1 0 -3	39.7	10
0 0 4	48.1	11
2 2 0	48.2	11
2 -2 0	49.2	10
2 2 2	53.5	19
1 1 -4	54.9	8


This entry pairs a crystal structure of Li9Mn2Co5O16 with its simulated PXRD pattern. Radiation: CuKα. Structure: a DFT-relaxed cell (GGA+U, the Materials Project).
Peak positions follow from Bragg's law for the DFT cell and can differ from measured ones.

Structural model:
Cell: 3.0211 5.9986 16.0820 Å, 90.69 91.00 95.12°
Space group P1 (No. 1)
One atom of each set of equivalent atoms:
Li 0.0000 0.0000 0.0000 x1
Li 0.9996 0.4976 0.5008 x1
Li 0.0013 0.0008 0.2477 x1
Li 0.0009 0.4990 0.9992 x1
Li 0.4969 0.2423 0.8779 x1
Li 0.5002 0.2494 0.3745 x1
Li 0.5001 0.7509 0.6229 x1
Li 0.5018 0.7549 0.1231 x1
Li 0.9980 0.9994 0.7506 x1
Mn 0.4995 0.7485 0.3740 x1
Mn 0.9988 0.4985 0.7507 x1
Co 0.0005 0.4977 0.2475 x1
Co 0.4942 0.7616 0.8802 x1
Co 0.5021 0.2474 0.6244 x1
Co 0.5027 0.2392 0.1196 x1
Co 0.9978 0.0015 0.4998 x1
O 0.0218 0.0191 0.1246 x1
O 0.0227 0.5108 0.8712 x1
O 0.0241 0.0123 0.6187 x1
O 0.0245 0.5030 0.3680 x1
O 0.4758 0.2359 0.5055 x1
O 0.4771 0.7418 0.7591 x1
O 0.4776 0.7348 0.2527 x1
O 0.4968 0.2539 0.0120 x1
O 0.5045 0.7461 0.9878 x1
O 0.5214 0.2555 0.7436 x1
O 0.5243 0.2629 0.2394 x1
O 0.5240 0.7627 0.4958 x1
O 0.9756 0.4874 0.6286 x1
O 0.9757 0.9938 0.3798 x1
O 0.9771 0.4849 0.1301 x1
O 0.9785 0.9807 0.8751 x1

The 10 most intense peaks (10° ≤ 2θ ≤ 90°), by angle:
h k l	two_theta	I_rel
0 1 -2	18.4	100
-1 1 2	33.9	21
1 1 2	36.6	12
0 1 6	37.0	15
1 -2 0	40.6	36
1 2 0	44.6	26
0 0 8	45.1	25
2 0 0	61.7	9
0 4 0	62.2	16
1 2 8	66.1	10


This entry pairs a crystal structure of CoRhO3 with its simulated PXRD pattern. Radiation: CuKα. Structure: a DFT-relaxed cell (GGA+U, the Materials Project).
Peak positions follow from Bragg's law for the DFT cell and can differ from measured ones.

Structural model:
Cell: 3.8938 3.8938 3.8938 Å, 90.00 90.00 90.00°
Space group Pm-3m (No. 221)
One atom of each set of equivalent atoms:
Co 0.0000 0.0000 0.0000 x1
Rh 0.5000 0.5000 0.5000 x1
O 0.0000 0.5000 0.5000 x3

The 9 most intense peaks (10° ≤ 2θ ≤ 90°), by angle:
h k l	two_theta	I_rel
1 0 0	22.8	20
1 1 0	32.5	100
2 0 0	46.7	35
2 1 0	52.6	8
2 1 1	58.0	37
2 2 0	68.1	20
3 0 0	72.9	4
3 1 0	77.5	16
2 2 2	86.6	7


This entry pairs a crystal structure of Dy2MoO6 with its simulated PXRD pattern. Radiation: CuKα. Structure: a DFT-relaxed cell (GGA+U, the Materials Project).
Peak positions follow from Bragg's law for the DFT cell and can differ from measured ones.

Structural model:
Cell: 16.5043 11.1390 5.4032 Å, 90.00 108.18 90.00°
Space group C2/c (No. 15)
One atom of each set of equivalent atoms:
Dy 0.0000 0.1069 0.2500 x4
Dy 0.0000 0.3640 0.7500 x4
Dy 0.1678 0.1159 0.8786 x8
Mo 0.1539 0.3580 0.4397 x8
O 0.0724 0.2355 0.5827 x8
O 0.0795 0.4695 0.4854 x8
O 0.0912 0.0178 0.0783 x8
O 0.1053 0.2786 0.1290 x8
O 0.2281 0.2971 0.7458 x8
O 0.2365 0.4466 0.3634 x8

The 10 most intense peaks (10° ≤ 2θ ≤ 90°), by angle:
h k l	two_theta	I_rel
2 2 1	28.5	100
4 2 -1	28.8	92
0 4 0	32.1	23
2 0 -2	33.2	20
6 0 0	34.3	19
2 4 -2	46.9	26
6 4 0	47.7	27
4 0 2	48.0	15
0 2 3	56.2	13
10 2 -1	58.3	14


This entry pairs a crystal structure of Na4Mn2C4SO16 with its simulated PXRD pattern. Radiation: CuKα. Structure: a DFT-relaxed cell (GGA+U, the Materials Project).
Peak positions follow from Bragg's law for the DFT cell and can differ from measured ones.

Structural model:
Cell: 13.8188 13.9135 14.5050 Å, 90.00 90.00 90.00°
Space group F222 (No. 22)
One atom of each set of equivalent atoms:
Na 0.0000 0.0000 0.2110 x8
Na 0.0000 0.2144 0.0000 x8
Na 0.0408 0.2500 0.7500 x8
Na 0.2130 0.0000 0.0000 x8
Mn 0.1272 0.1239 0.3753 x16
C 0.0907 0.0886 0.5906 x16
C 0.1561 0.1609 0.1588 x16
S 0.0000 0.0000 0.0000 x4
S 0.2500 0.2500 0.7500 x4
O 0.0227 0.1525 0.6071 x16
O 0.0620 0.0623 0.9401 x16
O 0.0960 0.1459 0.2257 x16
O 0.0980 0.0166 0.6480 x16
O 0.1444 0.2337 0.1031 x16
O 0.1469 0.0981 0.5220 x16
O 0.1872 0.1881 0.8092 x16
O 0.2260 0.1010 0.1436 x16

The 10 most intense peaks (10° ≤ 2θ ≤ 90°), by angle:
h k l	two_theta	I_rel
1 1 1	10.9	100
0 2 2	17.7	52
1 1 3	20.5	93
1 3 1	21.1	80
3 1 1	21.2	59
1 1 5	32.2	67
1 5 1	33.4	49
5 1 1	33.6	64
0 4 4	35.8	39
4 0 4	35.9	35


This entry pairs a crystal structure of Li5Mn3O8 with its simulated PXRD pattern. Radiation: CuKα. Structure: a DFT-relaxed cell (GGA+U, the Materials Project).
Peak positions follow from Bragg's law for the DFT cell and can differ from measured ones.

Structural model:
Cell: 9.7692 2.8807 10.3788 Å, 90.00 98.60 90.00°
Space group C2/m (No. 12)
One atom of each set of equivalent atoms:
Li 0.0000 0.0000 0.0000 x2
Li 0.2356 0.0000 0.3559 x4
Li 0.2421 0.5000 0.1080 x4
Mn 0.0000 0.0000 0.5000 x2
Mn 0.0177 0.5000 0.7662 x4
O 0.0991 0.0000 0.1917 x4
O 0.1021 0.5000 0.4266 x4
O 0.1241 0.5000 0.9244 x4
O 0.1252 0.0000 0.6974 x4

The 10 most intense peaks (10° ≤ 2θ ≤ 90°), by angle:
h k l	two_theta	I_rel
0 0 2	17.3	15
2 0 0	18.4	100
2 0 -1	19.1	16
2 0 3	34.3	11
0 0 4	35.0	12
1 1 -2	36.3	25
2 0 4	42.3	30
3 1 -2	44.1	62
1 1 -6	62.7	16
5 1 2	62.8	13